Starting from a GGA-PBE-relaxed structure, the powder diffractogram of Pr6GaP2Br3 was simulated for Cu Kα, 1.54184 Å.

Structural model:
Lattice parameters (Å, degrees): 9.859 9.859 8.887 106.37 106.37 24.71
Sites, in units of the cell vectors:
Pr1 0.011 0.011 0.238
Pr2 0.322 0.322 0.441
Pr3 0.341 0.341 0.887
Pr4 0.659 0.659 0.113
Pr5 0.678 0.678 0.559
Pr6 0.989 0.989 0.762
Ga1 0.500 0.500 0.000
P1 0.167 0.167 0.336
P2 0.833 0.833 0.664
Br1 0.166 0.166 0.833
Br2 0.500 0.500 0.500
Br3 0.834 0.834 0.167

Main lines, by angle (15 to 90 degrees two-theta):
Position (°2θ), I_rel
25.46, 10
25.61, 20
29.05, 50
29.21, 100
31.65, 13
40.73, 46
42.57, 38
42.87, 19
52.62, 19
57.21, 11

Starting from a GGA-PBE-relaxed structure, the powder diffractogram of Tl4Hg2Sb3Pb3 was simulated for Cu Kα, 1.54184 Å.

Structural model:
Lattice parameters (Å, degrees): 15.226 15.226 15.226 160.60 26.44 162.21
Sites, in units of the cell vectors:
Tl1 0.164 0.000 0.164
Tl2 0.248 0.499 0.749
Tl3 0.749 0.499 0.251
Tl4 0.836 0.000 0.836
Hg1 0.420 0.503 0.917
Hg2 0.585 0.503 0.083
Sb1 0.334 0.999 0.335
Sb2 0.499 0.999 0.500
Sb3 0.664 0.999 0.665
Pb1 0.008 0.008 0.000
Pb2 0.084 0.499 0.584
Pb3 0.915 0.499 0.416

Main lines, by angle (15 to 90 degrees two-theta):
Position (°2θ), I_rel
31.51, 100
34.98, 19
36.37, 17
38.24, 15
51.35, 13
52.79, 12
60.58, 16
62.42, 14
64.95, 13
65.79, 12

Starting from a GGA-PBE-relaxed structure, the powder diffractogram of La2Pm2Hg3 was simulated for Cu Kα, 1.54184 Å.

Structural model:
Lattice parameters (Å, degrees): 9.288 5.367 9.264 90.00 109.42 90.00
Sites, in units of the cell vectors:
La1 0.128 0.000 0.386
La2 0.372 0.500 0.614
La3 0.628 0.500 0.386
La4 0.872 0.000 0.614
Pm1 0.122 0.500 0.865
Pm2 0.378 0.000 0.135
Pm3 0.622 0.000 0.865
Pm4 0.878 0.500 0.135
Hg1 0.000 0.000 0.000
Hg2 0.247 0.500 0.239
Hg3 0.253 0.000 0.761
Hg4 0.500 0.500 0.000
Hg5 0.747 0.000 0.239
Hg6 0.753 0.500 0.761

Main lines, by angle (15 to 90 degrees two-theta):
Position (°2θ), I_rel
20.29, 7
30.67, 5
33.44, 100
48.01, 18
59.74, 29
59.87, 9
70.17, 6
70.32, 5
80.00, 8
80.09, 5

Starting from a GGA-PBE-relaxed structure, the powder diffractogram of HoGeSe3 was simulated for Cu Kα, 1.54184 Å.

Structural model:
Lattice parameters (Å, degrees): 7.338 6.675 10.818 90.00 90.00 90.00
Sites, in units of the cell vectors:
Ho1 0.129 0.082 0.000
Ho2 0.371 0.582 0.500
Ho3 0.629 0.418 0.000
Ho4 0.871 0.918 0.500
Ge1 0.107 0.557 0.159
Ge2 0.393 0.057 0.659
Ge3 0.607 0.943 0.159
Ge4 0.893 0.443 0.659
Se1 0.124 0.754 0.675
Se2 0.125 0.247 0.524
Se3 0.145 0.787 0.333
Se4 0.355 0.287 0.833
Se5 0.375 0.747 0.024
Se6 0.376 0.254 0.175
Se7 0.624 0.746 0.675
Se8 0.625 0.253 0.524
Se9 0.645 0.713 0.333
Se10 0.855 0.213 0.833
Se11 0.875 0.753 0.024
Se12 0.876 0.246 0.175

Main lines, by angle (15 to 90 degrees two-theta):
Position (°2θ), I_rel
16.39, 46
19.76, 30
24.41, 53
30.57, 30
30.70, 47
32.39, 100
37.36, 78
43.74, 37
48.05, 50
71.62, 28